This entry pairs a crystal structure of Ba2CaFe2CoF14 with its theoretical powder diffractogram. Radiation: Cu Kα X-rays. Structure: a DFT-relaxed cell (GGA+U, Alexandria).
Neutral-atom scattering factors, no anomalous dispersion.

Cell and atoms:
```
Ba2CaFe2CoF14
1.0
6.9822 -2.7112 0.0000
6.9822 2.7112 0.0000
-0.2551 0.0000 15.0818
Ba Ca Fe Co F
4 2 4 2 28
Direct
0.1386 0.2422 0.1207
0.2422 0.1386 0.6207
0.7578 0.8614 0.3793
0.8614 0.7578 0.8793
0.4409 0.5591 0.2500
0.5591 0.4409 0.7500
0.1099 0.1256 0.3763
0.1256 0.1099 0.8763
0.8744 0.8901 0.1237
0.8901 0.8744 0.6237
0.5000 0.5000 0.0000
0.5000 0.5000 0.5000
0.0495 0.6278 0.2213
0.0777 0.9007 0.3424
0.0993 0.9223 0.1576
0.1054 0.7269 0.5164
0.1597 0.5919 0.7052
0.1692 0.5812 0.0465
0.1905 0.3095 0.4112
0.2731 0.8946 0.9836
0.3095 0.1905 0.9112
0.3630 0.5270 0.8809
0.3722 0.9505 0.2787
0.4081 0.8403 0.7948
0.4188 0.8308 0.4535
0.4730 0.6370 0.6191
0.5270 0.3630 0.3809
0.5812 0.1692 0.5465
0.5919 0.1597 0.2052
0.6278 0.0495 0.7213
0.6370 0.4730 0.1191
0.6905 0.8095 0.0888
0.7269 0.1054 0.0164
0.8095 0.6905 0.5888
0.8308 0.4188 0.9535
0.8403 0.4081 0.2948
0.8946 0.2731 0.4836
0.9007 0.0777 0.8424
0.9223 0.0993 0.6576
0.9505 0.3722 0.7787
```

Most intense lines, 10° ≤ 2θ ≤ 90°, most intense first:
- 25.22 deg, d = 3.532 Å, intensity 1000
- 29.47 deg, d = 3.031 Å, intensity 335
- 29.65 deg, d = 3.013 Å, intensity 297
- 23.60 deg, d = 3.770 Å, intensity 289
- 27.76 deg, d = 3.214 Å, intensity 285
- 41.00 deg, d = 2.201 Å, intensity 242